Computed XRD peak list of Cs2Ho4Cu4S9 for Cu Kα, from a cell relaxed with PBE.
Neutral-atom scattering factors, no anomalous dispersion.

Crystal structure
a = 14.039 Å, b = 3.966 Å, c = 16.059 Å
α = 90.00°, β = 108.83°, γ = 90.00°
Space group C2/m (No. 12)
Symmetry-distinct sites (fractional):
Cs: 0.029 0.000 0.271
Ho: 0.153 0.500 0.554
Ho: 0.232 0.000 0.103
Cu: 0.070 0.500 0.961
Cu: 0.248 0.000 0.729
S: 0.000 0.000 0.500
S: 0.108 0.500 0.122
S: 0.142 0.000 0.927
S: 0.162 0.500 0.724
S: 0.209 0.500 0.403

Top 10 peaks for 10° ≤ 2θ ≤ 80°, sorted by position:
hkl 2 0 0, 13.33°, rel. 59; hkl 2 0 -4, 22.91°, rel. 70; hkl 4 0 -2, 25.56°, rel. 100; hkl 1 1 2, 27.19°, rel. 80; hkl 1 1 -3, 28.02°, rel. 75; hkl 3 1 -2, 29.99°, rel. 62; hkl 3 1 0, 30.25°, rel. 49; hkl 3 1 1, 32.08°, rel. 78; hkl 0 2 0, 45.76°, rel. 92; hkl 4 2 -2, 53.16°, rel. 47



Computed XRD peak list of CsHo2CuTe3S for Cu Kα, from a cell relaxed with PBE.
Neutral-atom scattering factors, no anomalous dispersion.

Crystal structure
a = 4.291 Å, b = 15.337 Å, c = 14.995 Å
α = 90.00°, β = 90.00°, γ = 90.00°
Space group Cmcm (No. 63)
Symmetry-distinct sites (fractional):
Cs: 0.000 0.091 0.250
Ho: 0.000 0.367 0.077
Cu: 0.000 0.161 0.750
Te: 0.000 0.000 0.000
Te: 0.000 0.266 0.610
S: 0.000 0.414 0.250

Top 10 peaks for 10° ≤ 2θ ≤ 80°, sorted by position:
hkl 0 2 3, 21.22°, rel. 56; hkl 0 2 4, 26.47°, rel. 58; hkl 1 3 0, 27.13°, rel. 46; hkl 1 3 1, 27.79°, rel. 100; hkl 1 3 2, 29.68°, rel. 74; hkl 1 1 4, 32.24°, rel. 50; hkl 1 3 3, 32.61°, rel. 25; hkl 0 0 6, 35.94°, rel. 26; hkl 1 5 3, 40.40°, rel. 78; hkl 2 0 0, 42.12°, rel. 44



Computed XRD peak list of CsHo2CuTe3Se for Cu Kα, from a cell relaxed with PBE.
Neutral-atom scattering factors, no anomalous dispersion.

Crystal structure
a = 4.344 Å, b = 15.426 Å, c = 15.137 Å
α = 90.00°, β = 90.00°, γ = 90.00°
Space group Cmcm (No. 63)
Symmetry-distinct sites (fractional):
Cs: 0.000 0.099 0.250
Ho: 0.000 0.368 0.072
Cu: 0.000 0.161 0.750
Te: 0.000 0.000 0.000
Te: 0.000 0.263 0.609
Se: 0.000 0.421 0.250

Top 10 peaks for 10° ≤ 2θ ≤ 80°, sorted by position:
hkl 0 2 3, 21.04°, rel. 38; hkl 0 2 4, 26.23°, rel. 51; hkl 1 3 0, 26.87°, rel. 30; hkl 1 3 1, 27.52°, rel. 100; hkl 1 3 2, 29.39°, rel. 75; hkl 1 1 4, 31.89°, rel. 25; hkl 0 0 6, 35.58°, rel. 23; hkl 1 1 5, 36.65°, rel. 24; hkl 1 5 3, 40.05°, rel. 67; hkl 2 0 0, 41.57°, rel. 41